Diffraction record for LaNi4Bi3O12. The powder X-ray diffraction pattern is simulated, not measured: it uses the GGA+U geometry in the Materials Project and CuKα.
Neutral-atom scattering factors, no anomalous dispersion.

Peak list (6 most intense, 10° ≤ 2θ ≤ 80°, in order of falling intensity)
| Position (°2θ) | d (Å) | intensity |
| --- | --- | --- |
| 31.65 | 2.827 | 100 |
| 32.85 | 2.726 | 87 |
| 32.17 | 2.783 | 42 |
| 31.35 | 2.853 | 37 |
| 57.86 | 1.594 | 27 |
| 22.54 | 3.945 | 27 |

Atomic structure:
a b c (Å): 5.4586 5.7117 7.8964
angles (deg): 92.19 90.80 91.27
Atoms (fractional coordinates):
La1 0.0000 0.0000 0.0000
Ni1 0.0131 0.5563 0.2459
Ni2 0.0170 0.5565 0.7423
Ni3 0.5161 0.0582 0.2463
Ni4 0.5201 0.0602 0.7423
Bi1 0.0256 0.1173 0.4696
Bi2 0.5001 0.6216 0.5178
Bi3 0.5278 0.4971 0.9632
O1 0.1583 0.5925 0.9933
O2 0.1934 0.8772 0.2862
O3 0.2313 0.8348 0.6662
O4 0.3269 0.3842 0.3334
O5 0.3474 0.3745 0.7011
O6 0.4253 0.1333 0.0012
O7 0.6242 0.9820 0.4881
O8 0.6983 0.7171 0.1596
O9 0.7008 0.7531 0.7965
O10 0.8065 0.2847 0.8249
O11 0.8484 0.2235 0.2218
O12 0.8701 0.5238 0.4980



Diffraction record for Ni5O4. The powder X-ray diffraction pattern is simulated, not measured: it uses the GGA+U geometry in the Materials Project and CuKα.
Neutral-atom scattering factors, no anomalous dispersion.

Peak list (6 most intense, 10° ≤ 2θ ≤ 80°, in order of falling intensity)
| Position (°2θ) | d (Å) | intensity |
| --- | --- | --- |
| 34.06 | 2.632 | 100 |
| 57.14 | 1.612 | 97 |
| 39.53 | 2.280 | 75 |
| 44.43 | 2.039 | 57 |
| 27.67 | 3.224 | 43 |
| 68.22 | 1.375 | 29 |

Atomic structure:
a b c (Å): 4.5595 4.5595 4.5595
angles (deg): 90.00 90.00 90.00
Atoms (fractional coordinates):
Ni1 0.0000 0.0000 0.0000
Ni2 0.2828 0.2828 0.7172
Ni3 0.2828 0.7172 0.2828
Ni4 0.7172 0.2828 0.2828
Ni5 0.7172 0.7172 0.7172
O1 0.2723 0.2723 0.2723
O2 0.2723 0.7277 0.7277
O3 0.7277 0.2723 0.7277
O4 0.7277 0.7277 0.2723



Diffraction record for KMgFeP2O8. The powder X-ray diffraction pattern is simulated, not measured: it uses the GGA+U geometry in the Materials Project and CuKα.
Neutral-atom scattering factors, no anomalous dispersion.

Peak list (6 most intense, 10° ≤ 2θ ≤ 80°, in order of falling intensity)
| Position (°2θ) | d (Å) | intensity |
| --- | --- | --- |
| 18.61 | 4.768 | 100 |
| 21.77 | 4.083 | 74 |
| 28.75 | 3.106 | 68 |
| 32.49 | 2.756 | 62 |
| 21.56 | 4.122 | 59 |
| 28.84 | 3.096 | 55 |

Atomic structure:
a b c (Å): 9.8305 9.8305 9.5562
angles (deg): 118.79 118.79 32.45
Atoms (fractional coordinates):
K1 0.2461 0.7539 0.5000
K2 0.7539 0.2461 0.0000
Mg1 0.1589 0.5622 0.0255
Mg2 0.5622 0.1589 0.5255
Fe1 0.4564 0.8705 0.9991
Fe2 0.8705 0.4564 0.4991
P1 0.0764 0.6702 0.7062
P2 0.3596 0.9433 0.3186
P3 0.6702 0.0764 0.2062
P4 0.9433 0.3596 0.8186
O1 0.0315 0.4555 0.9078
O2 0.0745 0.1603 0.3364
O3 0.1603 0.0745 0.8364
O4 0.1704 0.6408 0.8846
O5 0.2932 0.5127 0.6275
O6 0.3687 0.8616 0.1331
O7 0.4555 0.0315 0.4078
O8 0.5127 0.2932 0.1275
O9 0.5253 0.7077 0.3844
O10 0.5664 0.9856 0.1126
O11 0.6408 0.1704 0.3846
O12 0.7077 0.5253 0.8844
O13 0.8481 0.9551 0.6928
O14 0.8616 0.3687 0.6331
O15 0.9551 0.8481 0.1928
O16 0.9856 0.5664 0.6126



Diffraction record for MgNi2Mo2O8. The powder X-ray diffraction pattern is simulated, not measured: it uses the GGA+U geometry in the Materials Project and CuKα.
Neutral-atom scattering factors, no anomalous dispersion.

Peak list (6 most intense, 10° ≤ 2θ ≤ 80°, in order of falling intensity)
| Position (°2θ) | d (Å) | intensity |
| --- | --- | --- |
| 29.20 | 3.059 | 100 |
| 29.71 | 3.007 | 92 |
| 23.02 | 3.864 | 68 |
| 35.60 | 2.522 | 47 |
| 51.14 | 1.786 | 37 |
| 50.48 | 1.808 | 34 |

Atomic structure:
a b c (Å): 4.8950 5.8852 5.1236
angles (deg): 90.00 91.34 90.00
Atoms (fractional coordinates):
Mg1 0.0000 0.0000 0.0000
Ni1 0.0000 0.4577 0.0000
Ni2 0.5000 0.7208 0.0000
Mo1 0.0000 0.8960 0.5000
Mo2 0.5000 0.2667 0.5000
O1 0.1473 0.7169 0.7847
O2 0.1886 0.1901 0.7273
O3 0.3030 0.9826 0.2866
O4 0.3390 0.4546 0.2579
O5 0.6610 0.4546 0.7421
O6 0.6970 0.9826 0.7134
O7 0.8114 0.1901 0.2727
O8 0.8527 0.7169 0.2153



Diffraction record for MgV4O10. The powder X-ray diffraction pattern is simulated, not measured: it uses the GGA+U geometry in the Materials Project and CuKα.
Neutral-atom scattering factors, no anomalous dispersion.

Peak list (6 most intense, 10° ≤ 2θ ≤ 80°, in order of falling intensity)
| Position (°2θ) | d (Å) | intensity |
| --- | --- | --- |
| 16.80 | 5.276 | 100 |
| 13.52 | 6.552 | 23 |
| 32.41 | 2.763 | 21 |
| 27.25 | 3.273 | 20 |
| 28.23 | 3.161 | 19 |
| 33.99 | 2.638 | 19 |

Atomic structure:
a b c (Å): 5.2781 6.5775 6.6638
angles (deg): 79.61 88.31 89.92
Atoms (fractional coordinates):
Mg1 0.0000 0.0000 0.0000
V1 0.4204 0.6931 0.8405
V2 0.4551 0.1956 0.7043
V3 0.5449 0.8044 0.2957
V4 0.5796 0.3069 0.1595
O1 0.1181 0.7398 0.8932
O2 0.1433 0.1515 0.7246
O3 0.3928 0.0392 0.1817
O4 0.4513 0.7206 0.5463
O5 0.4917 0.3944 0.8627
O6 0.5083 0.6056 0.1373
O7 0.5487 0.2794 0.4537
O8 0.6072 0.9608 0.8183
O9 0.8567 0.8485 0.2754
O10 0.8819 0.2602 0.1068



Diffraction record for NaSrFeF6. The powder X-ray diffraction pattern is simulated, not measured: it uses the GGA+U geometry in the Materials Project and CuKα.
Neutral-atom scattering factors, no anomalous dispersion.

Peak list (6 most intense, 10° ≤ 2θ ≤ 80°, in order of falling intensity)
| Position (°2θ) | d (Å) | intensity |
| --- | --- | --- |
| 20.56 | 4.320 | 100 |
| 26.29 | 3.390 | 98 |
| 25.30 | 3.520 | 94 |
| 47.24 | 1.924 | 85 |
| 24.87 | 3.581 | 60 |
| 31.75 | 2.818 | 39 |

Atomic structure:
a b c (Å): 5.4736 9.4680 10.5184
angles (deg): 90.00 90.00 90.00
Atoms (fractional coordinates):
Na1 0.0427 0.1474 0.0843
Na2 0.4573 0.8526 0.5843
Na3 0.5427 0.3526 0.9157
Na4 0.9573 0.6474 0.4157
Sr1 0.0070 0.6848 0.8233
Sr2 0.4930 0.3152 0.3233
Sr3 0.5070 0.8152 0.1767
Sr4 0.9930 0.1848 0.6767
Fe1 0.0368 0.5008 0.1263
Fe2 0.4632 0.4992 0.6263
Fe3 0.5368 0.9992 0.8737
Fe4 0.9632 0.0008 0.3737
F1 0.1403 0.9961 0.5345
F2 0.1587 0.8385 0.3176
F3 0.2101 0.1225 0.2958
F4 0.2116 0.6433 0.5869
F5 0.2194 0.5212 0.2856
F6 0.2189 0.6595 0.0483
F7 0.2811 0.3405 0.5483
F8 0.2806 0.4788 0.7856
F9 0.2884 0.3567 0.0869
F10 0.2899 0.8775 0.7958
F11 0.3413 0.1615 0.8176
F12 0.3597 0.0039 0.0345
F13 0.6403 0.5039 0.4655
F14 0.6587 0.6615 0.6824
F15 0.7101 0.3775 0.7042
F16 0.7116 0.8567 0.4131
F17 0.7189 0.8405 0.9517
F18 0.7194 0.9788 0.7144
F19 0.7806 0.0212 0.2144
F20 0.7811 0.1595 0.4517
F21 0.7884 0.1433 0.9131
F22 0.7899 0.6225 0.2042
F23 0.8413 0.3385 0.1824
F24 0.8597 0.4961 0.9655



Diffraction record for LiVO2F2. The powder X-ray diffraction pattern is simulated, not measured: it uses the GGA+U geometry in the Materials Project and CuKα.
Neutral-atom scattering factors, no anomalous dispersion.

Peak list (6 most intense, 10° ≤ 2θ ≤ 80°, in order of falling intensity)
| Position (°2θ) | d (Å) | intensity |
| --- | --- | --- |
| 25.89 | 3.442 | 100 |
| 16.34 | 5.425 | 76 |
| 19.86 | 4.470 | 38 |
| 28.96 | 3.083 | 37 |
| 23.74 | 3.747 | 35 |
| 23.13 | 3.845 | 17 |

Atomic structure:
a b c (Å): 8.9401 5.4250 6.8743
angles (deg): 90.00 90.00 90.00
Atoms (fractional coordinates):
Li1 0.2239 0.0182 0.0000
Li2 0.2761 0.0182 0.5000
Li3 0.7239 0.9818 0.0000
Li4 0.7761 0.9818 0.5000
V1 0.0563 0.5476 0.6226
V2 0.4437 0.5476 0.1226
V3 0.5563 0.4524 0.6226
V4 0.9437 0.4524 0.1226
O1 0.0233 0.4696 0.8649
O2 0.2173 0.6982 0.6159
O3 0.2827 0.6982 0.1159
O4 0.4767 0.4696 0.3649
O5 0.5233 0.5304 0.8649
O6 0.7173 0.3018 0.6159
O7 0.7827 0.3018 0.1159
O8 0.9767 0.5304 0.3649
F1 0.0768 0.1834 0.1410
F2 0.1152 0.2224 0.5661
F3 0.3848 0.2224 0.0661
F4 0.4232 0.1834 0.6410
F5 0.5768 0.8166 0.1410
F6 0.6152 0.7776 0.5661
F7 0.8848 0.7776 0.0661
F8 0.9232 0.8166 0.6410



Diffraction record for Ca7MgCo7CuO24. The powder X-ray diffraction pattern is simulated, not measured: it uses the GGA+U geometry in the Materials Project and CuKα.
Neutral-atom scattering factors, no anomalous dispersion.

Peak list (6 most intense, 10° ≤ 2θ ≤ 80°, in order of falling intensity)
| Position (°2θ) | d (Å) | intensity |
| --- | --- | --- |
| 33.56 | 2.670 | 100 |
| 48.19 | 1.888 | 50 |
| 60.00 | 1.542 | 35 |
| 23.56 | 3.777 | 27 |
| 70.53 | 1.335 | 26 |
| 54.32 | 1.689 | 9 |

Atomic structure:
a b c (Å): 7.5533 7.5533 7.5533
angles (deg): 89.96 89.96 89.96
Atoms (fractional coordinates):
Ca1 0.0000 0.0000 0.0000
Ca2 0.0000 0.0000 0.4980
Ca3 0.0000 0.4980 0.0000
Ca4 0.0002 0.4980 0.4980
Ca5 0.4980 0.0000 0.0000
Ca6 0.4980 0.0002 0.4980
Ca7 0.4980 0.4980 0.0002
Mg1 0.4980 0.4980 0.4980
Co1 0.2495 0.2495 0.7486
Co2 0.2495 0.7486 0.2495
Co3 0.2492 0.7487 0.7487
Co4 0.7484 0.7484 0.7484
Co5 0.7486 0.2495 0.2495
Co6 0.7487 0.2492 0.7487
Co7 0.7487 0.7487 0.2492
Cu1 0.2493 0.2493 0.2493
O1 0.9999 0.7488 0.7488
O2 0.2493 0.2493 0.9954
O3 0.2492 0.7488 0.9977
O4 0.2493 0.9954 0.2493
O5 0.2492 0.9977 0.7488
O6 0.2509 0.2509 0.5024
O7 0.2509 0.5004 0.7474
O8 0.2509 0.5024 0.2509
O9 0.2509 0.7474 0.5004
O10 0.4983 0.7474 0.7474
O11 0.5004 0.2509 0.7474
O12 0.5004 0.7474 0.2509
O13 0.5024 0.2509 0.2509
O14 0.7474 0.2509 0.5004
O15 0.7474 0.4983 0.7474
O16 0.7474 0.5004 0.2509
O17 0.7474 0.7474 0.4983
O18 0.7488 0.9999 0.7488
O19 0.7488 0.2492 0.9977
O20 0.7488 0.7488 0.9999
O21 0.7488 0.9977 0.2492
O22 0.9954 0.2493 0.2493
O23 0.9977 0.2492 0.7488
O24 0.9977 0.7488 0.2492



Diffraction record for Ba3Mn2RuO9. The powder X-ray diffraction pattern is simulated, not measured: it uses the GGA+U geometry in the Materials Project and CuKα.
Neutral-atom scattering factors, no anomalous dispersion.

Peak list (6 most intense, 10° ≤ 2θ ≤ 80°, in order of falling intensity)
| Position (°2θ) | d (Å) | intensity |
| --- | --- | --- |
| 30.66 | 2.916 | 100 |
| 26.99 | 3.304 | 71 |
| 41.29 | 2.186 | 42 |
| 52.29 | 1.749 | 21 |
| 54.50 | 1.684 | 19 |
| 63.83 | 1.458 | 19 |

Atomic structure:
a b c (Å): 8.0205 8.0205 8.0205
angles (deg): 42.65 42.65 42.65
Atoms (fractional coordinates):
Ba1 0.0000 0.0000 0.0000
Ba2 0.2154 0.2154 0.2154
Ba3 0.7812 0.7812 0.7812
Mn1 0.3799 0.3799 0.3799
Mn2 0.4974 0.4974 0.4974
Ru1 0.6168 0.6168 0.6168
O1 0.2563 0.7040 0.7040
O2 0.2937 0.2937 0.7417
O3 0.2937 0.7417 0.2937
O4 0.4989 0.4989 0.9934
O5 0.4989 0.9934 0.4989
O6 0.7040 0.2563 0.7040
O7 0.7040 0.7040 0.2563
O8 0.7417 0.2937 0.2937
O9 0.9934 0.4989 0.4989



Diffraction record for Na2VHgF6. The powder X-ray diffraction pattern is simulated, not measured: it uses the GGA+U geometry in the Materials Project and CuKα.
Neutral-atom scattering factors, no anomalous dispersion.

Peak list (6 most intense, 10° ≤ 2θ ≤ 80°, in order of falling intensity)
| Position (°2θ) | d (Å) | intensity |
| --- | --- | --- |
| 26.93 | 3.311 | 100 |
| 18.95 | 4.682 | 97 |
| 31.69 | 2.823 | 43 |
| 38.45 | 2.341 | 39 |
| 43.20 | 2.094 | 36 |
| 47.57 | 1.912 | 35 |

Atomic structure:
a b c (Å): 6.6217 6.6217 6.6217
angles (deg): 60.00 60.00 60.00
Atoms (fractional coordinates):
Na1 0.2500 0.2500 0.2500
Na2 0.7500 0.7500 0.7500
V1 0.0000 0.0000 0.0000
Hg1 0.5000 0.5000 0.5000
F1 0.1994 0.1994 0.8006
F2 0.1994 0.8006 0.1994
F3 0.1994 0.8006 0.8006
F4 0.8006 0.1994 0.1994
F5 0.8006 0.1994 0.8006
F6 0.8006 0.8006 0.1994